Diffraction record for CsReOF6. The powder X-ray diffraction pattern is calculated, not measured: it uses a crystal structure in Alexandria, relaxed with GGA-PBE and Cu Ka.
Neutral-atom scattering factors, no anomalous dispersion.

The 12 most intense peaks (10 to 90 degrees two-theta), by intensity:
2θ (°)	d (Å)	Rel. int.	(hkl)
22.6	3.932	100	1 1 -2
23.4	3.809	83	1 1 2
21.8	4.078	49	2 0 0
24.2	3.678	34	0 2 0
16.2	5.470	30	0 0 2
32.8	2.731	22	2 2 0
38.3	2.352	20	3 1 -2
42.1	2.148	19	1 3 2
38.7	2.327	17	2 0 -4
46.2	1.966	16	2 2 -4
41.1	2.198	13	0 2 4
32.7	2.741	12	0 0 4

Structural model:
Cell: 8.1643 7.3563 10.9757 Å, 90.00 92.73 90.00°
Positions (direct):
Cs1 0.2223 0.2399 0.4989
Cs2 0.2223 0.2601 0.9989
Cs3 0.7777 0.7399 0.0011
Cs4 0.7777 0.7601 0.5011
Re1 0.2783 0.7102 0.7585
Re2 0.2783 0.7898 0.2585
Re3 0.7217 0.2102 0.7415
Re4 0.7217 0.2898 0.2415
O1 0.4280 0.7292 0.6556
O2 0.4280 0.7708 0.1556
O3 0.5720 0.2292 0.8444
O4 0.5720 0.2708 0.3444
F1 0.1095 0.6435 0.6363
F2 0.1095 0.8565 0.1363
F3 0.1106 0.6772 0.8779
F4 0.1106 0.8228 0.3779
F5 0.1660 0.5706 0.2062
F6 0.1660 0.9294 0.7062
F7 0.2715 0.0548 0.2456
F8 0.2715 0.4452 0.7456
F9 0.3593 0.5929 0.3615
F10 0.3593 0.9071 0.8615
F11 0.4275 0.6088 0.8840
F12 0.4275 0.8912 0.3840
F13 0.5725 0.1088 0.6160
F14 0.5725 0.3912 0.1160
F15 0.6407 0.0929 0.1385
F16 0.6407 0.4071 0.6385
F17 0.7285 0.5548 0.2544
F18 0.7285 0.9452 0.7544
F19 0.8340 0.0706 0.2938
F20 0.8340 0.4294 0.7938
F21 0.8894 0.1772 0.6221
F22 0.8894 0.3228 0.1221
F23 0.8905 0.1435 0.8637
F24 0.8905 0.3565 0.3637

=====

Diffraction record for CsSO3F. The powder X-ray diffraction pattern is calculated, not measured: it uses a crystal structure in Alexandria, relaxed with GGA-PBE and Cu Ka.
Neutral-atom scattering factors, no anomalous dispersion.

The 12 most intense peaks (10 to 90 degrees two-theta), by intensity:
2θ (°)	d (Å)	Rel. int.	(hkl)
25.2	3.537	100	0 2 1
24.0	3.702	57	0 0 2
25.6	3.478	54	2 0 -2
24.8	3.597	53	2 0 0
31.4	2.847	53	2 2 -1
40.5	2.226	28	2 2 -3
39.4	2.288	19	2 2 1
16.8	5.265	18	1 1 -1
43.0	2.104	16	0 2 3
16.5	5.365	15	1 1 0
33.7	2.658	14	1 1 2
35.7	2.515	14	1 3 0

Structural model:
Cell: 8.0558 8.0534 8.2911 Å, 90.00 116.76 90.00°
Positions (direct):
Cs1 0.2371 0.1083 0.2372
Cs2 0.2371 0.3917 0.7372
Cs3 0.7629 0.6083 0.2628
Cs4 0.7629 0.8917 0.7628
S1 0.2356 0.5919 0.2269
S2 0.2356 0.9081 0.7269
S3 0.7644 0.0919 0.2731
S4 0.7644 0.4081 0.7731
O1 0.1002 0.7158 0.1194
O2 0.1002 0.7842 0.6194
O3 0.1832 0.0096 0.8419
O4 0.1832 0.4904 0.3419
O5 0.3283 0.5025 0.1379
O6 0.3283 0.9975 0.6379
O7 0.6717 0.0025 0.3621
O8 0.6717 0.4975 0.8621
O9 0.8168 0.5096 0.6581
O10 0.8168 0.9904 0.1581
O11 0.8998 0.2158 0.3806
O12 0.8998 0.2842 0.8806
F1 0.4068 0.7076 0.3746
F2 0.4068 0.7924 0.8746
F3 0.5932 0.2076 0.1254
F4 0.5932 0.2924 0.6254

=====

Diffraction record for CsSbSO4F2. The powder X-ray diffraction pattern is calculated, not measured: it uses a crystal structure in Alexandria, relaxed with GGA-PBE and Cu Ka.
Neutral-atom scattering factors, no anomalous dispersion.

The 12 most intense peaks (10 to 90 degrees two-theta), by intensity:
2θ (°)	d (Å)	Rel. int.	(hkl)
23.7	3.747	100	1 2 1
24.8	3.589	95	2 1 1
27.4	3.251	39	3 1 0
31.7	2.819	32	0 0 2
28.1	3.176	27	0 3 1
42.4	2.132	25	0 5 1
39.7	2.269	22	2 2 2
48.2	1.887	22	3 3 2
44.3	2.046	21	3 4 1
19.6	4.534	20	1 1 1
35.3	2.542	20	3 3 0
17.7	5.015	18	1 2 0

Structural model:
Cell: 10.1643 11.5305 5.6386 Å, 90.00 90.00 90.00°
Positions (direct):
Cs1 0.0207 0.1646 0.0000
Cs2 0.4793 0.6646 0.5000
Cs3 0.5207 0.3354 0.0000
Cs4 0.9793 0.8354 0.5000
Sb1 0.1751 0.5885 0.9988
Sb2 0.3249 0.0885 0.4988
Sb3 0.6751 0.9115 0.9988
Sb4 0.8249 0.4115 0.4988
S1 0.1902 0.3723 0.5612
S2 0.3098 0.8723 0.0612
S3 0.6902 0.1277 0.5612
S4 0.8098 0.6277 0.0612
O1 0.0718 0.3368 0.4269
O2 0.1416 0.4301 0.7907
O3 0.2229 0.9488 0.9266
O4 0.2354 0.7659 0.1478
O5 0.2646 0.2659 0.6478
O6 0.2771 0.4488 0.4266
O7 0.3584 0.9301 0.2907
O8 0.4282 0.8368 0.9269
O9 0.5718 0.1632 0.4269
O10 0.6416 0.0699 0.7907
O11 0.7229 0.5512 0.9266
O12 0.7354 0.7341 0.1478
O13 0.7646 0.2341 0.6478
O14 0.7771 0.0512 0.4266
O15 0.8584 0.5699 0.2907
O16 0.9282 0.6632 0.9269
F1 0.1327 0.0607 0.4662
F2 0.1830 0.6689 0.6928
F3 0.3170 0.1689 0.1928
F4 0.3673 0.5607 0.9662
F5 0.6327 0.4393 0.4662
F6 0.6830 0.8311 0.6928
F7 0.8170 0.3311 0.1928
F8 0.8673 0.9393 0.9662

=====

> Which formula does entry 1 have?

CsReOF6